Simulated powder diffractogram
Compound: Er5Pt3
Radiation: Cu Kα (weighted mean of Kα1 and Kα2)
Structure: a cell relaxed with PBE
No peak broadening, texture or thermal motion is included.

Atomic structure:
```
data_Er5Pt3
_cell_length_a 14.4537
_cell_length_b 8.3566
_cell_length_c 6.1143
_cell_angle_alpha 90.00
_cell_angle_beta 90.00
_cell_angle_gamma 90.00
_space_group_name_H-M_alt 'C m c m'
_space_group_IT_number 63
_space_group_name_Hall '-C 2c 2'
loop_
_atom_site_label
_atom_site_type_symbol
_atom_site_fract_x
_atom_site_fract_y
_atom_site_fract_z
Er1 Er 0.0000 0.2462 0.2500
Er2 Er 0.1233 0.1230 0.7500
Er3 Er 0.1667 0.5000 0.0000
Pt1 Pt 0.0000 0.3931 0.7500
Pt2 Pt 0.1964 0.1966 0.2500
```

Principal peaks in the range 10° ≤ 2θ ≤ 90°, most intense first:
index  2θ (°)  I (rel.)
1 3 1  36.0  100
3 1 2  36.4  80
6 0 0  37.3  47
1 3 3  56.3  28
4 2 0  32.8  25
0 0 2  29.2  24
7 1 1  47.7  18
5 5 2  72.3  17
6 2 2  53.1  17
6 0 4  73.3  13